Entry 1:
This entry pairs a crystal structure of Sm3Ti with its simulated powder X-ray diffraction pattern. Radiation: CuKα. Structure: a cell relaxed with PBE.
Neutral-atom scattering factors, no anomalous dispersion.

Crystal structure
a = 5.9613 Å, b = 5.9613 Å, c = 5.9613 Å
α = 131.47°, β = 131.47°, γ = 71.07°
Positions (direct):
Sm 0.0000 0.0000 0.0000
Sm 0.2500 0.7500 0.5000
Sm 0.7500 0.2500 0.5000
Ti 0.5000 0.5000 0.0000

Top 12 peaks for 2θ from 10° to 90°, in order of rising 2θ:
- 20.31°, rel. 12
- 31.74°, rel. 100
- 36.68°, rel. 34
- 37.06°, rel. 16
- 52.85°, rel. 12
- 53.14°, rel. 23
- 62.98°, rel. 28
- 63.49°, rel. 13
- 66.31°, rel. 12
- 86.66°, rel. 6
- 87.12°, rel. 11
- 89.44°, rel. 5

---

Entry 2:
This entry pairs a crystal structure of MgIr with its simulated powder X-ray diffraction pattern. Radiation: CuKα. Structure: a cell relaxed with PBE.
Neutral-atom scattering factors, no anomalous dispersion.

Crystal structure
a = 4.4140 Å, b = 3.1204 Å, c = 4.4142 Å
α = 90.00°, β = 90.00°, γ = 90.00°
Positions (direct):
Mg 0.2500 0.0000 0.2342
Mg 0.7500 0.0000 0.7658
Ir 0.2500 0.5000 0.7323
Ir 0.7500 0.5000 0.2677

Top 12 peaks for 2θ from 10° to 90°, in order of rising 2θ:
- 20.12°, rel. 1
- 28.60°, rel. 75
- 40.89°, rel. 100
- 45.97°, rel. 1
- 50.66°, rel. 21
- 55.05°, rel. 1
- 59.21°, rel. 17
- 67.06°, rel. 27
- 74.47°, rel. 33
- 78.06°, rel. 1
- 85.13°, rel. 1
- 88.64°, rel. 11